Calculated powder XRD pattern
Compound: La2TbNdDy
Radiation: a wavelength of 1.5418 Å
Structure: a DFT-relaxed cell (GGA-PBE, Alexandria)
Peak positions follow from Bragg's law for the DFT cell and can differ from measured ones.

Main lines, by angle (10° ≤ 2θ ≤ 80°):
two_theta  intensity
24.54  30
30.40  100
31.37  82
35.21  51
44.96  27
67.83  19

Crystal structure
Cell: 5.815 5.815 11.419 Å, 90.00 90.00 107.72°
Fractional coordinates of all 10 atoms:
La (0.248, 0.248, 0.000)
La (0.248, 0.248, 0.500)
La (0.752, 0.752, 0.000)
La (0.752, 0.752, 0.500)
Tb (0.335, 0.665, 0.750)
Tb (0.665, 0.335, 0.250)
Nd (0.009, 0.991, 0.750)
Nd (0.991, 0.009, 0.250)
Dy (0.322, 0.678, 0.250)
Dy (0.678, 0.322, 0.750)